Starting from a crystal structure in the Materials Project, relaxed with PBE, the powder diffractogram of DyMn2 was calculated for λ = 1.5418 Å (Cu Kα).
Peak positions follow from Bragg's law for the DFT cell and can differ from measured ones.

Cell: 7.2211 7.2211 7.2211 Å, 90.00 90.00 90.00°
Space group Fd-3m (No. 227, origin choice 2)
One atom of each set of equivalent atoms:
Dy 0.1250 0.1250 0.1250 x8
Mn 0.0000 0.0000 0.5000 x16

Largest 8 diffraction maxima, sorted by position, 2θ from 5° to 70°:
(1 1 1), 2θ 21.31, I = 20; (2 2 0), 2θ 35.15, I = 71; (3 1 1), 2θ 41.47, I = 100; (2 2 2), 2θ 43.41, I = 12; (4 0 0), 2θ 50.56, I = 1; (3 3 1), 2θ 55.47, I = 5; (4 2 2), 2θ 63.07, I = 26; (5 1 1), 2θ 67.38, I = 30

---

Starting from a crystal structure in the Materials Project, relaxed with PBE, the powder diffractogram of BaN2 was calculated for λ = 1.5418 Å (Cu Kα).
Peak positions follow from Bragg's law for the DFT cell and can differ from measured ones.

```
data_BaN2
_space_group_name_H-M_alt 'C 1 2/c 1'
_space_group_IT_number 15
_cell_length_a 7.2609
_cell_length_b 4.4839
_cell_length_c 7.3378
_cell_angle_alpha 90.00
_cell_angle_beta 105.08
_cell_angle_gamma 90.00
loop_
_space_group_symop_operation_xyz
'x,y,z'
'-x,-y,-z'
'-x,y,-z+1/2'
'x,-y,z+1/2'
'x+1/2,y+1/2,z'
'-x+1/2,-y+1/2,-z'
'-x+1/2,y+1/2,-z+1/2'
'x+1/2,-y+1/2,z+1/2'
loop_
_atom_site_label
_atom_site_type_symbol
_atom_site_fract_x
_atom_site_fract_y
_atom_site_fract_z
Ba1 Ba 0.0000 0.2115 0.2500
N1 N 0.2032 0.3517 0.9541
```

Largest 10 diffraction maxima, sorted by position, 2θ from 5° to 70°:
(0 0 2), 2θ 25.12, I = 100; (2 0 0), 2θ 25.41, I = 34; (1 1 1), 2θ 28.29, I = 98; (2 0 -2), 2θ 30.87, I = 46; (2 0 2), 2θ 40.64, I = 17; (1 1 -3), 2θ 42.21, I = 39; (3 1 -1), 2θ 42.53, I = 31; (0 2 2), 2θ 48.04, I = 17; (1 1 3), 2θ 48.20, I = 27; (0 0 4), 2θ 51.55, I = 31

---

Starting from a crystal structure in the Materials Project, relaxed with PBE, the powder diffractogram of DyAlB14 was calculated for λ = 1.5418 Å (Cu Kα).
Peak positions follow from Bragg's law for the DFT cell and can differ from measured ones.

```
data_DyAlB14
_space_group_name_H-M_alt 'I m m a'
_space_group_IT_number 74
_space_group_name_Hall '-I 2b 2'
_cell_length_a 5.9124
_cell_length_b 10.4726
_cell_length_c 8.2540
_cell_angle_alpha 90.00
_cell_angle_beta 90.00
_cell_angle_gamma 90.00
loop_
_atom_site_label
_atom_site_type_symbol
_atom_site_fract_x
_atom_site_fract_y
_atom_site_fract_z
Dy1 Dy 0.0000 0.2500 0.1515
Al1 Al 0.2500 0.2500 0.7500
B1 B 0.0000 0.0902 0.6668
B2 B 0.0000 0.1437 0.8739
B3 B 0.0000 0.1674 0.4663
B4 B 0.1622 0.0605 0.3379
B5 B 0.2478 0.0798 0.5482
```

Largest 10 diffraction maxima, sorted by position, 2θ from 5° to 70°:
(0 1 1), 2θ 13.66, I = 90; (0 2 0), 2θ 16.93, I = 71; (1 0 1), 2θ 18.46, I = 24; (1 2 1), 2θ 25.15, I = 53; (1 1 2), 2θ 27.71, I = 100; (2 1 1), 2θ 33.31, I = 55; (2 2 0), 2θ 34.85, I = 33; (1 3 2), 2θ 37.00, I = 50; (1 2 3), 2θ 40.04, I = 52; (2 3 1), 2θ 41.50, I = 45

---

Starting from a crystal structure in the Materials Project, relaxed with PBE, the powder diffractogram of BPI3Br3 was calculated for λ = 1.5418 Å (Cu Kα).
Peak positions follow from Bragg's law for the DFT cell and can differ from measured ones.

```
data_BPI3Br3
_space_group_name_H-M_alt 'P n m a'
_space_group_IT_number 62
_cell_length_a 13.6394
_cell_length_b 11.9998
_cell_length_c 7.9649
_cell_angle_alpha 90.00
_cell_angle_beta 90.00
_cell_angle_gamma 90.00
loop_
_space_group_symop_operation_xyz
'x,y,z'
'-x,-y,-z'
'-x+1/2,-y,z+1/2'
'x+1/2,y,-z+1/2'
'x+1/2,-y+1/2,-z+1/2'
'-x+1/2,y+1/2,z+1/2'
'-x,y+1/2,-z'
'x,-y+1/2,z'
loop_
_atom_site_label
_atom_site_type_symbol
_atom_site_fract_x
_atom_site_fract_y
_atom_site_fract_z
B1 B 0.1056 0.2500 0.2499
P1 P 0.1404 0.2500 0.5009
I1 I 0.0051 0.7500 0.3221
I2 I 0.2363 0.0870 0.5801
Br1 Br 0.0291 0.1102 0.2172
Br2 Br 0.2356 0.2500 0.1345
```

Largest 10 diffraction maxima, sorted by position, 2θ from 5° to 70°:
(0 2 0), 2θ 14.82, I = 24; (1 0 2), 2θ 23.27, I = 42; (1 1 2), 2θ 24.44, I = 20; (1 3 1), 2θ 25.77, I = 43; (2 0 2), 2θ 25.91, I = 43; (4 0 0), 2θ 26.13, I = 47; (2 3 1), 2θ 28.19, I = 100; (3 3 1), 2θ 31.85, I = 34; (0 3 3), 2θ 40.79, I = 28; (4 3 3), 2θ 49.09, I = 19

---

Starting from a crystal structure in the Materials Project, relaxed with PBE, the powder diffractogram of NaSnPCO7 was calculated for λ = 1.5418 Å (Cu Kα).
Peak positions follow from Bragg's law for the DFT cell and can differ from measured ones.

```
data_NaSnPCO7
_space_group_name_H-M_alt 'P 1 21 1'
_space_group_IT_number 4
_cell_length_a 5.3202
_cell_length_b 6.6142
_cell_length_c 9.3371
_cell_angle_alpha 90.00
_cell_angle_beta 92.40
_cell_angle_gamma 90.00
loop_
_space_group_symop_operation_xyz
'x,y,z'
'-x,y+1/2,-z'
loop_
_atom_site_label
_atom_site_type_symbol
_atom_site_fract_x
_atom_site_fract_y
_atom_site_fract_z
Na1 Na 0.2391 0.0000 0.2842
Sn1 Sn 0.2179 0.2154 0.8425
P1 P 0.2745 0.7229 0.9323
C1 C 0.2755 0.2387 0.5755
O1 O 0.0508 0.2363 0.6360
O2 O 0.1382 0.7354 0.0761
O3 O 0.1936 0.5359 0.8434
O4 O 0.2122 0.9059 0.8357
O5 O 0.3077 0.2341 0.4458
O6 O 0.4353 0.2121 0.0312
O7 O 0.4669 0.2434 0.6768
```

Largest 10 diffraction maxima, sorted by position, 2θ from 5° to 70°:
(0 0 1), 2θ 9.48, I = 100; (0 1 1), 2θ 16.43, I = 74; (1 0 -1), 2θ 18.87, I = 26; (1 0 1), 2θ 19.56, I = 36; (1 1 0), 2θ 21.45, I = 43; (1 0 -2), 2θ 24.86, I = 38; (1 0 2), 2θ 25.94, I = 18; (0 2 0), 2θ 26.96, I = 41; (2 0 0), 2θ 33.72, I = 18; (1 1 3), 2θ 36.70, I = 20